[1]
This entry pairs a crystal structure of Ac2La2In4Au with its simulated X-ray diffraction stick pattern. Radiation: Cu Kα. Structure: a crystal structure in Alexandria, relaxed with PBE.
Peak positions follow from Bragg's law for the DFT cell and can differ from measured ones.

The 12 most intense peaks (2θ from 10° to 90°), sorted by position:
2theta	d_spacing	I (rel.)
22.84	3.894	216
24.56	3.625	351
29.50	3.028	1000
30.11	2.968	228
32.52	2.753	885
37.35	2.408	206
38.13	2.360	231
41.17	2.193	189
46.65	1.947	324
50.35	1.812	350
56.17	1.638	323
61.23	1.514	194

Cell and atoms:
a b c (Å): 7.3151 7.3151 7.3151
angles (deg): 115.68 115.68 97.66
Sites, in units of the cell vectors:
Ac  0.2500  0.7500  0.5000
Ac  0.7500  0.2500  0.5000
La  0.1915  0.1915  0.0000
La  0.8085  0.8085  0.0000
In  0.2520  0.2520  0.5040
In  0.2520  0.7480  0.0000
In  0.7480  0.2520  0.0000
In  0.7480  0.7480  0.4960
Au  0.5000  0.5000  0.0000


[2]
This entry pairs a crystal structure of Er3B2Ir7 with its simulated X-ray diffraction stick pattern. Radiation: Cu Kα. Structure: a crystal structure in Alexandria, relaxed with PBE.
Peak positions follow from Bragg's law for the DFT cell and can differ from measured ones.

The 12 most intense peaks (2θ from 10° to 90°), sorted by position:
2theta	d_spacing	I (rel.)
33.79	2.653	456
35.33	2.541	289
37.25	2.414	626
38.72	2.325	1000
39.36	2.289	659
41.17	2.192	972
43.61	2.075	286
48.09	1.892	262
61.98	1.497	285
64.76	1.440	257
69.67	1.350	422
71.07	1.326	386

Cell and atoms:
a b c (Å): 8.1373 8.1373 8.1373
angles (deg): 38.75 38.75 38.75
Sites, in units of the cell vectors:
Er  0.0000  0.0000  0.0000
Er  0.1435  0.1435  0.1435
Er  0.8565  0.8565  0.8565
B  0.3356  0.3356  0.3356
B  0.6644  0.6644  0.6644
Ir  0.0686  0.5704  0.5704
Ir  0.4296  0.4296  0.9314
Ir  0.4296  0.9314  0.4296
Ir  0.5000  0.5000  0.5000
Ir  0.5704  0.0685  0.5704
Ir  0.5704  0.5703  0.0686
Ir  0.9314  0.4296  0.4296


[3]
This entry pairs a crystal structure of Pm4CdPd with its simulated X-ray diffraction stick pattern. Radiation: Cu Kα. Structure: a crystal structure in Alexandria, relaxed with PBE.
Peak positions follow from Bragg's law for the DFT cell and can differ from measured ones.

The 12 most intense peaks (2θ from 10° to 90°), sorted by position:
2theta	d_spacing	I (rel.)
29.27	3.051	224
30.01	2.978	417
30.53	2.928	660
30.92	2.892	468
31.09	2.877	505
32.50	2.755	796
33.68	2.661	1000
34.38	2.609	203
34.55	2.596	362
34.66	2.588	460
36.77	2.444	326
45.92	1.976	273

Cell and atoms:
a b c (Å): 6.0252 8.1524 8.3446
angles (deg): 114.25 97.70 104.29
Sites, in units of the cell vectors:
Pm  0.0172  0.3965  0.2664
Pm  0.1313  0.8486  0.2217
Pm  0.3832  0.3193  0.6133
Pm  0.3972  0.1789  0.0602
Pm  0.6028  0.8211  0.9398
Pm  0.6168  0.6807  0.3867
Pm  0.8687  0.1514  0.7783
Pm  0.9828  0.6035  0.7336
Cd  0.2719  0.8952  0.6191
Cd  0.7281  0.1048  0.3809
Pd  0.2661  0.5065  0.0042
Pd  0.7339  0.4935  0.9958


[4]
This entry pairs a crystal structure of HfTh2Mn2N6 with its simulated X-ray diffraction stick pattern. Radiation: Cu Kα. Structure: a crystal structure in Alexandria, relaxed with PBE.
Peak positions follow from Bragg's law for the DFT cell and can differ from measured ones.

The 12 most intense peaks (2θ from 10° to 90°), sorted by position:
2theta	d_spacing	I (rel.)
19.23	4.615	135
21.27	4.177	68
28.05	3.181	131
32.31	2.771	1000
43.33	2.088	75
46.34	1.959	201
55.08	1.667	47
57.52	1.602	82
57.65	1.599	298
59.22	1.560	71
67.68	1.384	76
76.94	1.239	151

Cell and atoms:
a b c (Å): 6.5061 6.5061 6.5061
angles (deg): 50.37 50.37 50.37
Sites, in units of the cell vectors:
Hf  0.0000  0.0000  0.0000
Th  0.2113  0.2113  0.2113
Th  0.7887  0.7887  0.7887
Mn  0.3971  0.3971  0.3971
Mn  0.6029  0.6029  0.6029
N  0.2253  0.7467  0.7467
N  0.2533  0.2533  0.7747
N  0.2533  0.7747  0.2533
N  0.7467  0.2253  0.7467
N  0.7467  0.7467  0.2253
N  0.7747  0.2533  0.2533


[5]
This entry pairs a crystal structure of YHo4Ir2 with its simulated X-ray diffraction stick pattern. Radiation: Cu Kα. Structure: a crystal structure in Alexandria, relaxed with PBE.
Peak positions follow from Bragg's law for the DFT cell and can differ from measured ones.

The 12 most intense peaks (2θ from 10° to 90°), sorted by position:
2theta	d_spacing	I (rel.)
12.18	7.268	479
28.30	3.154	322
30.88	2.895	614
31.53	2.837	1000
34.23	2.620	341
34.63	2.590	365
35.99	2.496	377
36.67	2.451	984
37.86	2.376	488
39.84	2.263	370
41.49	2.177	317
58.55	1.577	414

Cell and atoms:
a b c (Å): 7.8231 6.3081 7.8700
angles (deg): 90.00 112.51 90.00
Sites, in units of the cell vectors:
Y  0.0257  0.2500  0.1578
Y  0.9743  0.7500  0.8422
Ho  0.2375  0.5025  0.5842
Ho  0.2375  0.9975  0.5842
Ho  0.3340  0.7500  0.2500
Ho  0.3797  0.2500  0.0158
Ho  0.6203  0.7500  0.9842
Ho  0.6660  0.2500  0.7500
Ho  0.7625  0.0025  0.4158
Ho  0.7625  0.4975  0.4158
Ir  0.0147  0.2500  0.7400
Ir  0.4121  0.2500  0.3737
Ir  0.5879  0.7500  0.6263
Ir  0.9853  0.7500  0.2600